This entry pairs a crystal structure of KPrGe4 with its computed PXRD pattern. Radiation: CuKα. Structure: a structure optimized by DFT (PBE).
No peak broadening, texture or thermal motion is included.

Crystal structure
```
data_KPrGe4
_chemical_formula_sum 'K4 Pr4 Ge16'
_symmetry_space_group_name_H-M 'F -4 3 m'
_symmetry_Int_Tables_number 216
_symmetry_space_group_name_Hall 'F -4 2 3'
_cell_length_a 8.221
_cell_length_b 8.221
_cell_length_c 8.221
_cell_angle_alpha 90.00
_cell_angle_beta 90.00
_cell_angle_gamma 90.00
loop_
_atom_site_label
_atom_site_type_symbol
_atom_site_fract_x
_atom_site_fract_y
_atom_site_fract_z
K1 K 0.000 0.000 0.000
Pr1 Pr 0.250 0.250 0.250
Ge1 Ge 0.120 0.120 0.620
```

Main lines, sorted by position (2θ from 10° to 90°):
hkl 1 1 1, 2θ = 18.7°, I 16
hkl 2 0 0, 2θ = 21.6°, I 7
hkl 2 2 0, 2θ = 30.8°, I 32
hkl 3 1 1, 2θ = 36.2°, I 100
hkl 2 2 2, 2θ = 37.9°, I 36
hkl 4 2 2, 2θ = 54.7°, I 12
hkl 3 3 3, 2θ = 58.3°, I 32
hkl 4 4 0, 2θ = 64.1°, I 25
hkl 5 3 3, 2θ = 75.9°, I 11
hkl 6 2 2, 2θ = 76.9°, I 13